The following is a calculated PXRD pattern of TbFeOs. It was derived from a PBE-relaxed structure, using copper Kα.
Neutral-atom scattering factors, no anomalous dispersion.

Structure:
abc: 5.2946 5.2946 5.2946
angles: 120.65 120.35 89.13
Fractional positions:
Tb 0.3727 0.1227 0.2500
Tb 0.6273 0.8773 0.7500
Fe 0.0000 0.5000 0.5000
Fe 0.5000 0.5000 0.0000
Os 0.0000 0.0000 0.5000
Os 0.0000 0.5000 0.0000

The 10 most intense peaks (2θ = 5–70°), low angle first:
2theta	d/Å	I/Imax
20.59	4.314	27
23.59	3.772	17
33.86	2.647	45
34.05	2.633	36
39.73	2.269	70
40.14	2.246	34
40.25	2.241	100
41.84	2.159	30
41.97	2.152	32
65.14	1.432	24



The following is a calculated PXRD pattern of Na3Hg3Bi. It was derived from a PBE-relaxed structure, using copper Kα.
Neutral-atom scattering factors, no anomalous dispersion.

Structure:
abc: 9.0047 9.0047 5.4502
angles: 90.00 90.00 120.00
Fractional positions:
Na 0.0904 0.6303 0.2500
Na 0.3697 0.4602 0.2500
Na 0.4602 0.0904 0.7500
Na 0.5398 0.9096 0.2500
Na 0.6303 0.5398 0.7500
Na 0.9096 0.3697 0.7500
Hg 0.0331 0.7998 0.7500
Hg 0.2002 0.2333 0.7500
Hg 0.2333 0.0331 0.2500
Hg 0.7667 0.9669 0.7500
Hg 0.7998 0.7667 0.2500
Hg 0.9669 0.2002 0.2500
Bi 0.3333 0.6667 0.7500
Bi 0.6667 0.3333 0.2500

The 10 most intense peaks (2θ = 5–70°), low angle first:
2theta	d/Å	I/Imax
11.35	7.798	26
19.87	4.467	22
25.66	3.471	23
30.32	2.947	31
32.87	2.725	25
34.60	2.593	100
45.32	2.001	21
53.89	1.701	22
59.80	1.547	21
64.56	1.443	22



Please write out number 2 again, unchanged.
The following is a calculated PXRD pattern of Na3Hg3Bi. It was derived from a PBE-relaxed structure, using copper Kα.
Neutral-atom scattering factors, no anomalous dispersion.

Structure:
abc: 9.0047 9.0047 5.4502
angles: 90.00 90.00 120.00
Fractional positions:
Na 0.0904 0.6303 0.2500
Na 0.3697 0.4602 0.2500
Na 0.4602 0.0904 0.7500
Na 0.5398 0.9096 0.2500
Na 0.6303 0.5398 0.7500
Na 0.9096 0.3697 0.7500
Hg 0.0331 0.7998 0.7500
Hg 0.2002 0.2333 0.7500
Hg 0.2333 0.0331 0.2500
Hg 0.7667 0.9669 0.7500
Hg 0.7998 0.7667 0.2500
Hg 0.9669 0.2002 0.2500
Bi 0.3333 0.6667 0.7500
Bi 0.6667 0.3333 0.2500

The 10 most intense peaks (2θ = 5–70°), low angle first:
2theta	d/Å	I/Imax
11.35	7.798	26
19.87	4.467	22
25.66	3.471	23
30.32	2.947	31
32.87	2.725	25
34.60	2.593	100
45.32	2.001	21
53.89	1.701	22
59.80	1.547	21
64.56	1.443	22